No. 1
For LiTiH6O2F6, DFT lattice parameters and positions (GGA-PBE) gives the computed X-ray diffraction stick pattern in this record (Cu Kα).
No peak broadening, texture or thermal motion is included.

Structural model:
```
LiTiH6O2F6
1.0
4.599 -2.782 0.000
4.599 2.782 0.000
-0.032 0.000 6.264
Li Ti H O F
1 1 6 2 6
direct
0.000 0.000 0.000
0.520 0.480 0.000
0.068 0.358 0.733
0.241 0.014 0.683
0.431 0.185 0.704
0.642 0.932 0.267
0.815 0.569 0.296
0.986 0.759 0.317
0.236 0.203 0.654
0.797 0.764 0.346
0.252 0.748 0.211
0.252 0.748 0.789
0.434 0.196 0.130
0.693 0.162 0.783
0.804 0.566 0.870
0.838 0.307 0.217
```

Peak list (10 most intense, 2θ = 10–80°, sorted by position)
14.14°, intensity 100; 18.64°, intensity 35; 19.30°, intensity 22; 23.46°, intensity 65; 23.95°, intensity 20; 24.07°, intensity 25; 34.31°, intensity 47; 40.57°, intensity 23; 43.51°, intensity 21; 48.07°, intensity 21



No. 2
For K2Hf2Sb2As, DFT lattice parameters and positions (GGA-PBE) gives the computed X-ray diffraction stick pattern in this record (Cu Kα).
No peak broadening, texture or thermal motion is included.

Structural model:
```
K2Hf2Sb2As
1.0
5.046 0.000 0.000
0.000 5.046 0.000
0.000 0.000 17.787
K Hf Sb As
4 4 4 2
direct
0.000 0.000 0.183
0.000 0.000 0.817
0.500 0.500 0.317
0.500 0.500 0.683
0.000 0.500 0.000
0.000 0.500 0.500
0.500 0.000 0.000
0.500 0.000 0.500
0.000 0.000 0.393
0.000 0.000 0.607
0.500 0.500 0.107
0.500 0.500 0.893
0.000 0.000 0.000
0.500 0.500 0.500
```

Peak list (10 most intense, 2θ = 10–80°, sorted by position)
26.93°, intensity 47; 30.75°, intensity 67; 32.17°, intensity 100; 35.59°, intensity 86; 37.04°, intensity 50; 39.52°, intensity 30; 47.73°, intensity 38; 51.21°, intensity 30; 61.77°, intensity 31; 64.05°, intensity 26



No. 3
For Dy6Mg2Ag, DFT lattice parameters and positions (GGA-PBE) gives the computed X-ray diffraction stick pattern in this record (Cu Kα).
No peak broadening, texture or thermal motion is included.

Structural model:
```
Dy6Mg2Ag
1.0
6.255 0.000 0.000
0.000 9.442 0.000
-4.728 0.000 8.891
Dy Mg Ag
12 4 2
direct
0.060 0.171 0.467
0.060 0.329 0.967
0.364 0.687 0.443
0.364 0.813 0.943
0.429 0.036 0.306
0.429 0.464 0.806
0.571 0.536 0.194
0.571 0.964 0.694
0.636 0.187 0.057
0.636 0.313 0.557
0.940 0.671 0.033
0.940 0.829 0.533
0.120 0.098 0.773
0.120 0.402 0.273
0.880 0.598 0.727
0.880 0.902 0.227
0.000 0.000 0.000
0.000 0.500 0.500
```

Peak list (10 most intense, 2θ = 10–80°, sorted by position)
19.97°, intensity 29; 27.56°, intensity 44; 28.29°, intensity 30; 29.55°, intensity 33; 30.52°, intensity 63; 31.19°, intensity 40; 31.93°, intensity 100; 33.71°, intensity 34; 33.82°, intensity 27; 63.10°, intensity 27